The following is a calculated powder diffraction line list of YCr3O. It was derived from a structure optimized by DFT (PBE+U), using Cu Kα (λ = 1.5418 Å).

Cell and atoms:
a = 4.502 Å, b = 4.502 Å, c = 4.502 Å
α = 90.00°, β = 90.00°, γ = 90.00°
Space group Pm-3m (No. 221)
Inequivalent atoms, fractional coordinates:
1 Y 0.000 0.000 0.000 (multiplicity 1)
2 Cr 0.000 0.500 0.500 (multiplicity 3)
3 O 0.500 0.500 0.500 (multiplicity 1)

Most intense lines, 10° ≤ 2θ ≤ 90°, low angle first:
| 2θ (°) | d/Å | intensity | hkl |
| --- | --- | --- | --- |
| 28.03 | 3.184 | 14 | 1 1 0 |
| 34.50 | 2.599 | 100 | 1 1 1 |
| 40.05 | 2.251 | 63 | 2 0 0 |
| 49.60 | 1.838 | 5 | 2 1 1 |
| 57.93 | 1.592 | 38 | 2 2 0 |
| 65.57 | 1.424 | 2 | 3 1 0 |
| 69.21 | 1.358 | 35 | 3 1 1 |
| 72.76 | 1.300 | 12 | 2 2 2 |
| 79.68 | 1.203 | 3 | 3 2 1 |
| 86.46 | 1.126 | 6 | 4 0 0 |